No. 1
Theoretical PXRD pattern of NpB for Cu Kα X-rays, from a DFT-relaxed cell (GGA-PBE, Alexandria).

```
data_NpB
_chemical_formula_sum 'Np2 B2'
_cell_length_a 3.328
_cell_length_b 3.210
_cell_length_c 4.921
_cell_angle_alpha 90.00
_cell_angle_beta 109.66
_cell_angle_gamma 90.00
_space_group_name_H-M_alt 'P 1 21/m 1'
_space_group_IT_number 11
_space_group_name_Hall '-P 2yb'
loop_
_atom_site_label
_atom_site_type_symbol
_atom_site_fract_x
_atom_site_fract_y
_atom_site_fract_z
Np1 Np 0.186 0.250 0.374
B1 B 0.461 0.250 0.921
```

The 10 most intense peaks (2θ from 5° to 70°), in order of rising 2θ:
hkl 0 0 1, 2θ 19.15, rel. 80; hkl 1 0 0, 2θ 28.50, rel. 17; hkl 0 1 1, 2θ 33.98, rel. 44; hkl 1 0 1, 2θ 39.81, rel. 54; hkl 1 1 -1, 2θ 40.23, rel. 100; hkl 0 1 2, 2θ 48.45, rel. 36; hkl 2 0 -1, 2θ 55.20, rel. 12; hkl 1 0 -3, 2θ 56.86, rel. 18; hkl 0 2 0, 2θ 57.42, rel. 11; hkl 2 1 0, 2θ 66.43, rel. 13

No. 2
Theoretical PXRD pattern of CrHg2I for Cu Kα X-rays, from a DFT-relaxed cell (GGA-PBE, Alexandria).

```
data_CrHg2I
_chemical_formula_sum 'Cr2 Hg4 I2'
_cell_length_a 4.023
_cell_length_b 7.094
_cell_length_c 9.740
_cell_angle_alpha 70.45
_cell_angle_beta 89.00
_cell_angle_gamma 73.84
_space_group_name_H-M_alt 'P 1'
_space_group_IT_number 1
_space_group_name_Hall 'P 1'
loop_
_atom_site_label
_atom_site_type_symbol
_atom_site_fract_x
_atom_site_fract_y
_atom_site_fract_z
Cr1 Cr 0.000 0.000 0.000
Cr2 Cr 0.242 0.492 0.218
Hg1 Hg 0.116 0.819 0.600
Hg2 Hg 0.468 0.089 0.746
Hg3 Hg 0.653 0.688 0.014
Hg4 Hg 0.801 0.442 0.804
I1 I 0.438 0.109 0.167
I2 I 0.760 0.436 0.421
```

The 10 most intense peaks (2θ from 5° to 70°), in order of rising 2θ:
hkl 0 0 1, 2θ 9.67, rel. 100; hkl 0 1 -2, 2θ 27.60, rel. 82; hkl 0 2 2, 2θ 28.01, rel. 44; hkl 1 1 2, 2θ 28.54, rel. 44; hkl 1 0 -2, 2θ 29.04, rel. 38; hkl 1 -1 0, 2θ 30.36, rel. 39; hkl 1 2 0, 2θ 30.74, rel. 40; hkl 0 2 3, 2θ 32.89, rel. 33; hkl 0 3 1, 2θ 39.97, rel. 40; hkl 2 1 0, 2θ 45.08, rel. 42

No. 3
Theoretical PXRD pattern of Ca5Si2As for Cu Kα X-rays, from a DFT-relaxed cell (GGA-PBE, Alexandria).

```
data_Ca5Si2As
_chemical_formula_sum 'Ca20 Si8 As4'
_cell_length_a 7.647
_cell_length_b 7.647
_cell_length_c 14.505
_cell_angle_alpha 90.00
_cell_angle_beta 90.00
_cell_angle_gamma 90.00
_space_group_name_H-M_alt 'I 4/m c m'
_space_group_IT_number 140
_space_group_name_Hall '-I 4 2c'
loop_
_atom_site_label
_atom_site_type_symbol
_atom_site_fract_x
_atom_site_fract_y
_atom_site_fract_z
Ca1 Ca 0.000 0.000 0.000
Ca2 Ca 0.174 0.326 0.143
Si1 Si 0.114 0.386 0.500
As1 As 0.000 0.000 0.250
```

The 10 most intense peaks (2θ from 5° to 70°), in order of rising 2θ:
hkl 1 1 0, 2θ 16.39, rel. 14; hkl 1 1 2, 2θ 20.49, rel. 25; hkl 1 1 4, 2θ 29.66, rel. 40; hkl 2 1 3, 2θ 32.06, rel. 100; hkl 2 2 0, 2θ 33.13, rel. 32; hkl 2 0 4, 2θ 34.07, rel. 88; hkl 3 1 0, 2θ 37.18, rel. 78; hkl 3 3 4, 2θ 57.06, rel. 25; hkl 3 1 8, 2θ 64.20, rel. 21; hkl 5 1 4, 2θ 67.59, rel. 20

No. 4
Theoretical PXRD pattern of InSn3As4 for Cu Kα X-rays, from a DFT-relaxed cell (GGA-PBE, Alexandria).

```
data_InSn3As4
_chemical_formula_sum 'In3 Sn9 As12'
_cell_length_a 4.7007
_cell_length_b 4.7007
_cell_length_c 37.7551
_cell_angle_alpha 90.00
_cell_angle_beta 90.00
_cell_angle_gamma 120.00
_space_group_name_H-M_alt 'R 3 m'
_space_group_IT_number 160
_space_group_name_Hall 'R 3 -2"'
loop_
_atom_site_label
_atom_site_type_symbol
_atom_site_fract_x
_atom_site_fract_y
_atom_site_fract_z
In1 In 0.0000 0.0000 0.0000
Sn1 Sn 0.0000 0.0000 0.2450
Sn2 Sn 0.0000 0.0000 0.5126
Sn3 Sn 0.0000 0.0000 0.7565
As1 As 0.0000 0.0000 0.1734
As2 As 0.0000 0.0000 0.4396
As3 As 0.0000 0.0000 0.6850
As4 As 0.0000 0.0000 0.9283
```

The 10 most intense peaks (2θ from 5° to 70°), in order of rising 2θ:
hkl 1 0 4, 2θ 23.80, rel. 100; hkl 0 0 12, 2θ 28.37, rel. 35; hkl 0 1 8, 2θ 28.97, rel. 13; hkl 1 0 13, 2θ 38.06, rel. 11; hkl 1 1 0, 2θ 38.30, rel. 73; hkl 1 0 16, 2θ 44.37, rel. 24; hkl 0 2 4, 2θ 45.59, rel. 18; hkl 1 1 12, 2θ 48.34, rel. 49; hkl 2 1 4, 2θ 61.01, rel. 15; hkl 3 0 0, 2θ 69.24, rel. 13

No. 5
Theoretical PXRD pattern of BaInHg11 for Cu Kα X-rays, from a DFT-relaxed cell (GGA-PBE, Alexandria).

```
data_BaInHg11
_chemical_formula_sum 'Ba2 In2 Hg22'
_cell_length_a 6.559
_cell_length_b 14.813
_cell_length_c 8.145
_cell_angle_alpha 90.00
_cell_angle_beta 112.98
_cell_angle_gamma 90.00
_space_group_name_H-M_alt 'C 1 2/m 1'
_space_group_IT_number 12
_space_group_name_Hall '-C 2y'
loop_
_atom_site_label
_atom_site_type_symbol
_atom_site_fract_x
_atom_site_fract_y
_atom_site_fract_z
Ba1 Ba 0.000 0.000 0.000
In1 In 0.000 0.500 0.500
Hg1 Hg 0.000 0.000 0.500
Hg2 Hg 0.105 0.392 0.214
Hg3 Hg 0.178 0.176 0.352
Hg4 Hg 0.250 0.250 0.000
```

The 10 most intense peaks (2θ from 5° to 70°), in order of rising 2θ:
hkl 1 3 -2, 2θ 28.95, rel. 35; hkl 2 2 0, 2θ 32.01, rel. 55; hkl 2 2 -2, 2θ 32.29, rel. 52; hkl 1 1 2, 2θ 33.23, rel. 42; hkl 1 5 0, 2θ 33.73, rel. 69; hkl 0 4 2, 2θ 34.03, rel. 83; hkl 2 0 1, 2θ 36.15, rel. 33; hkl 2 0 -3, 2θ 36.62, rel. 100; hkl 1 3 -3, 2θ 37.80, rel. 38; hkl 0 2 3, 2θ 37.98, rel. 45

No. 6
Theoretical PXRD pattern of BaBAsRh3 for Cu Kα X-rays, from a DFT-relaxed cell (GGA-PBE, Alexandria).

```
data_BaBAsRh3
_chemical_formula_sum 'Ba4 B4 As4 Rh12'
_cell_length_a 5.924
_cell_length_b 12.519
_cell_length_c 5.918
_cell_angle_alpha 90.00
_cell_angle_beta 90.00
_cell_angle_gamma 90.00
_space_group_name_H-M_alt 'C m c m'
_space_group_IT_number 63
_space_group_name_Hall '-C 2c 2'
loop_
_atom_site_label
_atom_site_type_symbol
_atom_site_fract_x
_atom_site_fract_y
_atom_site_fract_z
Ba1 Ba 0.000 0.248 0.250
B1 B 0.000 0.468 0.750
As1 As 0.000 0.109 0.750
Rh1 Rh 0.000 0.305 0.750
Rh2 Rh 0.244 0.500 0.000
```

The 10 most intense peaks (2θ from 5° to 70°), in order of rising 2θ:
hkl 0 4 0, 2θ 28.52, rel. 21; hkl 1 3 1, 2θ 30.23, rel. 24; hkl 0 2 2, 2θ 33.49, rel. 100; hkl 1 5 1, 2θ 42.03, rel. 14; hkl 2 0 2, 2θ 43.22, rel. 43; hkl 2 4 2, 2θ 52.60, rel. 15; hkl 3 3 1, 2θ 53.65, rel. 7; hkl 0 6 2, 2θ 53.75, rel. 18; hkl 4 0 0, 2θ 62.74, rel. 7; hkl 0 0 4, 2θ 62.82, rel. 8